No. 1
The following is a theoretical PXRD pattern of FePd13. It was derived from the PBE geometry in OQMD, using Cu Kα (weighted mean of Kα1 and Kα2).
Peak positions follow from Bragg's law for the DFT cell and can differ from measured ones.

Top 10 peaks for 2θ = 10–90°, low angle first:
35.23°, I = 34; 40.45°, I = 67; 40.75°, I = 100; 40.99°, I = 43; 41.75°, I = 74; 41.93°, I = 42; 42.15°, I = 40; 43.23°, I = 28; 43.78°, I = 50; 72.80°, I = 26

a = 6.7109 Å, b = 6.7109 Å, c = 5.2611 Å
α = 99.66°, β = 99.66°, γ = 70.47°
Sites, in units of the cell vectors:
Fe  0.0000  0.0000  0.0000
Pd  0.0000  0.0000  0.5000
Pd  0.0007  0.6501  0.6958
Pd  0.2168  0.6182  0.1801
Pd  0.2253  0.2253  0.8749
Pd  0.3499  0.9993  0.3042
Pd  0.3818  0.7832  0.8199
Pd  0.3901  0.3901  0.5833
Pd  0.6099  0.6099  0.4167
Pd  0.6182  0.2168  0.1801
Pd  0.6501  0.0007  0.6958
Pd  0.7747  0.7747  0.1251
Pd  0.7832  0.3818  0.8199
Pd  0.9993  0.3499  0.3042

=====

No. 2
The following is a theoretical PXRD pattern of Fe7Pd6. It was derived from the PBE geometry in OQMD, using Cu Kα (weighted mean of Kα1 and Kα2).
Peak positions follow from Bragg's law for the DFT cell and can differ from measured ones.

Top 10 peaks for 2θ = 10–90°, low angle first:
37.01°, I = 38; 39.93°, I = 100; 41.16°, I = 48; 41.73°, I = 87; 42.14°, I = 21; 43.72°, I = 28; 43.84°, I = 45; 44.81°, I = 49; 45.33°, I = 32; 74.14°, I = 39

a = 7.9680 Å, b = 9.1258 Å, c = 4.8585 Å
α = 90.00°, β = 90.00°, γ = 90.00°
Sites, in units of the cell vectors:
Fe  0.0000  0.0000  0.0000
Fe  0.0892  0.2573  0.0000
Fe  0.1594  0.8150  0.2538
Fe  0.1594  0.8150  0.7462
Fe  0.3406  0.3150  0.2538
Fe  0.3406  0.3150  0.7462
Fe  0.4108  0.7573  0.0000
Fe  0.5000  0.5000  0.0000
Fe  0.5892  0.2427  0.0000
Fe  0.6594  0.6850  0.2538
Fe  0.6594  0.6850  0.7462
Fe  0.8406  0.1850  0.2538
Fe  0.8406  0.1850  0.7462
Fe  0.9108  0.7427  0.0000
Pd  0.0503  0.3683  0.5000
Pd  0.1510  0.0830  0.5000
Pd  0.1672  0.5456  0.0000
Pd  0.3328  0.0456  0.0000
Pd  0.3490  0.5830  0.5000
Pd  0.4497  0.8683  0.5000
Pd  0.5503  0.1317  0.5000
Pd  0.6510  0.4170  0.5000
Pd  0.6672  0.9544  0.0000
Pd  0.8328  0.4544  0.0000
Pd  0.8490  0.9170  0.5000
Pd  0.9497  0.6317  0.5000